The following is a computed X-ray diffraction stick pattern of Sr2Y2Ni2O7. It was derived from a crystal structure in the Materials Project, relaxed with PBE+U, using Cu Ka.
Lines closer than 0.1° are merged.

Largest 8 diffraction maxima, low angle first, 5 to 70 degrees two-theta:
hkl 2 0 0, 7.4°, rel. 24.5
hkl 6 1 1, 32.0°, rel. 100.0
hkl 0 2 0, 32.4°, rel. 41.9
hkl 0 0 2, 32.5°, rel. 42.4
hkl 8 1 1, 37.8°, rel. 38.5
hkl 0 2 2, 46.5°, rel. 45.6
hkl 6 3 1, 57.5°, rel. 16.9
hkl 6 1 3, 57.7°, rel. 17.5

Structural model:
Lattice parameters (Å, degrees): 24.0172 5.5315 5.5091 90.00 90.00 90.00
Space group Ima2 (No. 46)
Inequivalent atoms, fractional coordinates:
1 Sr 0.1387 0.0091 0.0000 x8
2 Y 0.0000 0.0000 0.0022 x4
3 Y 0.2500 0.5457 0.9565 x4
4 Ni 0.0771 0.0000 0.5043 x8
5 O 0.0595 0.2383 0.2435 x8
6 O 0.0619 0.7393 0.2658 x8
7 O 0.1629 0.0244 0.5214 x8
8 O 0.2500 0.5696 0.5555 x4